The following is a calculated powder diffraction line list of Np3Te5. It was derived from a crystal structure in Alexandria, relaxed with PBE, using Cu Kα (weighted mean of Kα1 and Kα2).

Largest 10 diffraction maxima, in order of falling intensity, 2θ from 15° to 90°:
2.703 Å, I = 100.0
2.741 Å, I = 94.0
2.562 Å, I = 93.1
3.062 Å, I = 47.5
3.719 Å, I = 35.0
2.111 Å, I = 34.2
1.699 Å, I = 27.8
1.859 Å, I = 24.3
1.487 Å, I = 23.5
1.332 Å, I = 23.0

Structure:
a = 9.364 Å, b = 9.364 Å, c = 6.121 Å
α = 90.00°, β = 90.00°, γ = 120.00°
Fractional coordinates of all 16 atoms:
1 Np 0.000 0.379 0.250
2 Np 0.000 0.621 0.750
3 Np 0.379 0.000 0.250
4 Np 0.379 0.379 0.750
5 Np 0.621 0.000 0.750
6 Np 0.621 0.621 0.250
7 Te 0.000 0.266 0.750
8 Te 0.000 0.734 0.250
9 Te 0.266 0.000 0.750
10 Te 0.266 0.266 0.250
11 Te 0.333 0.667 0.000
12 Te 0.333 0.667 0.500
13 Te 0.667 0.333 0.000
14 Te 0.667 0.333 0.500
15 Te 0.734 0.000 0.250
16 Te 0.734 0.734 0.750

***

The following is a calculated powder diffraction line list of U2IrOs. It was derived from a crystal structure in Alexandria, relaxed with PBE, using Cu Kα (weighted mean of Kα1 and Kα2).

Largest 10 diffraction maxima, in order of falling intensity, 2θ from 15° to 90°:
2.238 Å, I = 100.0
3.064 Å, I = 99.9
2.101 Å, I = 78.9
1.238 Å, I = 31.5
1.532 Å, I = 31.1
1.176 Å, I = 25.8
1.733 Å, I = 19.9
1.679 Å, I = 17.9
1.337 Å, I = 17.6
1.213 Å, I = 14.2

Structure:
a = 4.201 Å, b = 4.201 Å, c = 5.679 Å
α = 90.00°, β = 90.00°, γ = 120.00°
Fractional coordinates of all 4 atoms:
1 U 0.333 0.667 0.244
2 U 0.667 0.333 0.756
3 Ir 0.000 0.000 0.500
4 Os 0.000 0.000 0.000

***

The following is a calculated powder diffraction line list of NaTbCdO3. It was derived from a crystal structure in Alexandria, relaxed with PBE, using Cu Kα (weighted mean of Kα1 and Kα2).

Largest 10 diffraction maxima, in order of falling intensity, 2θ from 15° to 90°:
2.875 Å, I = 100.0
2.593 Å, I = 67.2
5.799 Å, I = 51.0
2.927 Å, I = 48.3
1.981 Å, I = 45.7
3.090 Å, I = 39.1
4.118 Å, I = 35.3
2.950 Å, I = 34.9
1.760 Å, I = 28.0
2.907 Å, I = 27.8

Structure:
a = 6.181 Å, b = 3.309 Å, c = 8.878 Å
α = 90.00°, β = 109.84°, γ = 90.00°
Fractional coordinates of all 12 atoms:
1 Na 0.142 0.250 0.097
2 Na 0.858 0.750 0.903
3 Tb 0.335 0.750 0.814
4 Tb 0.665 0.250 0.186
5 Cd 0.260 0.750 0.410
6 Cd 0.740 0.250 0.590
7 O 0.053 0.250 0.801
8 O 0.358 0.250 0.595
9 O 0.394 0.750 0.082
10 O 0.606 0.250 0.918
11 O 0.642 0.750 0.405
12 O 0.947 0.750 0.199

***

The following is a calculated powder diffraction line list of K2TbF4. It was derived from a crystal structure in Alexandria, relaxed with PBE, using Cu Kα (weighted mean of Kα1 and Kα2).

Largest 10 diffraction maxima, in order of falling intensity, 2θ from 15° to 90°:
3.578 Å, I = 100.0
4.296 Å, I = 68.5
3.125 Å, I = 44.1
1.880 Å, I = 31.9
1.846 Å, I = 29.7
2.210 Å, I = 28.5
3.048 Å, I = 25.7
1.789 Å, I = 20.2
2.182 Å, I = 19.4
1.417 Å, I = 18.2

Structure:
a = 9.662 Å, b = 9.662 Å, c = 9.662 Å
α = 153.56°, β = 153.56°, γ = 37.74°
Fractional coordinates of all 7 atoms:
1 K 0.160 0.160 0.000
2 K 0.840 0.840 0.000
3 Tb 0.500 0.500 0.000
4 F 0.000 0.500 0.500
5 F 0.382 0.382 0.000
6 F 0.500 0.000 0.500
7 F 0.618 0.618 0.000

***

The following is a calculated powder diffraction line list of La4Zn3. It was derived from a crystal structure in Alexandria, relaxed with PBE, using Cu Kα (weighted mean of Kα1 and Kα2).

Largest 10 diffraction maxima, in order of falling intensity, 2θ from 15° to 90°:
2.743 Å, I = 100.0
2.682 Å, I = 64.4
1.560 Å, I = 35.3
1.897 Å, I = 23.1
3.511 Å, I = 22.8
3.134 Å, I = 13.0
2.103 Å, I = 10.1
1.200 Å, I = 10.0
1.665 Å, I = 8.8
1.753 Å, I = 7.6

Structure:
a = 14.158 Å, b = 14.158 Å, c = 14.158 Å
α = 164.60°, β = 164.60°, γ = 21.84°
Fractional coordinates of all 7 atoms:
1 La 0.066 0.066 0.000
2 La 0.339 0.339 0.000
3 La 0.661 0.661 0.000
4 La 0.934 0.934 0.000
5 Zn 0.225 0.225 0.000
6 Zn 0.500 0.500 0.000
7 Zn 0.775 0.775 0.000

***

The following is a calculated powder diffraction line list of Ho3Er13. It was derived from a crystal structure in Alexandria, relaxed with PBE, using Cu Kα (weighted mean of Kα1 and Kα2).

Largest 8 diffraction maxima, in order of falling intensity, 2θ from 15° to 90°:
2.857 Å, I = 100.0
2.474 Å, I = 50.6
1.492 Å, I = 42.6
1.749 Å, I = 35.9
1.135 Å, I = 17.9
1.106 Å, I = 16.9
1.428 Å, I = 12.3
1.237 Å, I = 5.7

Structure:
a = 9.891 Å, b = 6.999 Å, c = 6.999 Å
α = 90.00°, β = 90.00°, γ = 90.00°
Fractional coordinates of all 16 atoms:
1 Ho 0.000 0.000 0.000
2 Ho 0.250 0.250 0.250
3 Ho 0.750 0.250 0.250
4 Er 0.000 0.000 0.500
5 Er 0.000 0.500 0.000
6 Er 0.000 0.500 0.500
7 Er 0.250 0.250 0.750
8 Er 0.250 0.750 0.250
9 Er 0.250 0.750 0.750
10 Er 0.500 0.000 0.000
11 Er 0.500 0.000 0.500
12 Er 0.500 0.500 0.000
13 Er 0.500 0.500 0.500
14 Er 0.750 0.250 0.750
15 Er 0.750 0.750 0.250
16 Er 0.750 0.750 0.750

***

The following is a calculated powder diffraction line list of SmAlFeC. It was derived from a crystal structure in Alexandria, relaxed with PBE, using Cu Kα (weighted mean of Kα1 and Kα2).

Largest 10 diffraction maxima, in order of falling intensity, 2θ from 15° to 90°:
2.466 Å, I = 100.0
2.518 Å, I = 69.1
3.363 Å, I = 60.8
1.443 Å, I = 37.2
5.127 Å, I = 33.0
1.780 Å, I = 26.6
1.796 Å, I = 24.1
2.563 Å, I = 17.9
2.260 Å, I = 16.1
1.414 Å, I = 15.8

Structure:
a = 5.712 Å, b = 5.712 Å, c = 5.712 Å
α = 143.68°, β = 143.68°, γ = 52.31°
Fractional coordinates of all 4 atoms:
1 Sm 0.000 0.000 0.000
2 Al 0.306 0.306 0.000
3 Fe 0.692 0.692 0.000
4 C 0.510 0.510 0.000

***

The following is a calculated powder diffraction line list of Ir7Ru5. It was derived from a crystal structure in Alexandria, relaxed with PBE, using Cu Kα (weighted mean of Kα1 and Kα2).

Largest 10 diffraction maxima, in order of falling intensity, 2θ from 15° to 90°:
2.222 Å, I = 100.0
1.924 Å, I = 48.7
1.361 Å, I = 31.4
1.160 Å, I = 25.4
1.161 Å, I = 12.7
1.111 Å, I = 11.4
3.606 Å, I = 2.8
2.865 Å, I = 2.6
2.566 Å, I = 2.4
5.608 Å, I = 2.1

Structure:
a = 6.091 Å, b = 6.091 Å, c = 8.606 Å
α = 115.20°, β = 115.20°, γ = 36.83°
Fractional coordinates of all 12 atoms:
1 Ir 0.000 0.000 0.000
2 Ir 0.085 0.085 0.746
3 Ir 0.250 0.250 0.249
4 Ir 0.334 0.334 0.998
5 Ir 0.414 0.414 0.745
6 Ir 0.500 0.500 0.496
7 Ir 0.667 0.667 0.997
8 Ru 0.167 0.167 0.497
9 Ru 0.583 0.583 0.248
10 Ru 0.749 0.749 0.744
11 Ru 0.832 0.832 0.497
12 Ru 0.918 0.918 0.248